Theoretical powder diffractogram
Compound: GdMgZnNi
Radiation: Cu Kα (weighted mean of Kα1 and Kα2)
Structure: a structure optimized by DFT (PBE)
Kinematic intensities with the Lorentz-polarization factor, no thermal factor.

Crystal structure
a = 5.2657 Å, b = 5.2657 Å, c = 7.6807 Å
α = 91.26°, β = 91.26°, γ = 45.49°
Fractional coordinates of all 8 atoms:
1 Gd 0.0645 0.0645 0.2753
2 Gd 0.9355 0.9355 0.7247
3 Mg 0.3496 0.3496 0.0567
4 Mg 0.6504 0.6504 0.9433
5 Zn 0.3527 0.3527 0.4422
6 Zn 0.6473 0.6473 0.5578
7 Ni 0.2249 0.2249 0.7317
8 Ni 0.7751 0.7751 0.2683

Most intense lines, 2θ = 5–70°, in order of rising 2θ:
d [Å], Rel. int.
7.679, 69
3.839, 50
3.755, 44
2.697, 100
2.672, 53
2.419, 44
2.393, 100
2.036, 47